The following is a computed powder X-ray diffraction pattern of LiFePO4. It was derived from a structure optimized by DFT (PBE+U), using Cu Kα X-rays.
Intensities are scaled so that the largest is 100.

Top 10 peaks for 2θ from 10° to 80°, by angle:
| Position (°2θ) | I_rel |
| --- | --- |
| 16.31 | 49 |
| 21.30 | 54 |
| 22.42 | 100 |
| 23.79 | 29 |
| 31.78 | 18 |
| 32.95 | 42 |
| 34.82 | 40 |
| 36.35 | 21 |
| 37.41 | 27 |
| 57.36 | 19 |

Structural model:
```
data_LiFePO4
_chemical_formula_sum 'Li4 Fe4 P4 O16'
_space_group_name_H-M_alt 'P n a 21'
_space_group_IT_number 33
_cell_length_a 11.2645
_cell_length_b 6.2065
_cell_length_c 5.1538
_cell_angle_alpha 90.00
_cell_angle_beta 90.00
_cell_angle_gamma 90.00
loop_
_space_group_symop_operation_xyz
'x,y,z'
'-x,-y,z+1/2'
'-x+1/2,y+1/2,z+1/2'
'x+1/2,-y+1/2,z'
loop_
_atom_site_label
_atom_site_fract_x
_atom_site_fract_y
_atom_site_fract_z
Li1 0.1734 0.0240 0.0000
Fe1 0.0831 0.2825 0.5059
P1 0.1710 0.5262 0.9975
O1 0.0931 0.7295 0.0591
O2 0.1115 0.3194 0.1114
O3 0.1805 0.5035 0.6990
O4 0.2032 0.0541 0.6169
```

---

The following is a computed powder X-ray diffraction pattern of Li4Fe2P3O12. It was derived from a structure optimized by DFT (PBE+U), using Cu Kα X-rays.
Intensities are scaled so that the largest is 100.

Top 10 peaks for 2θ from 10° to 80°, by angle:
| Position (°2θ) | I_rel |
| --- | --- |
| 14.34 | 55 |
| 14.48 | 22 |
| 19.84 | 100 |
| 23.94 | 46 |
| 24.15 | 95 |
| 28.90 | 49 |
| 29.20 | 21 |
| 31.69 | 35 |
| 31.83 | 58 |
| 36.54 | 29 |

Structural model:
```
data_Li4Fe2P3O12
_chemical_formula_sum 'Li8 Fe4 P6 O24'
_space_group_name_H-M_alt 'P -1'
_space_group_IT_number 2
_cell_length_a 8.4437
_cell_length_b 8.4595
_cell_length_c 8.9654
_cell_angle_alpha 62.07
_cell_angle_beta 61.95
_cell_angle_gamma 60.80
loop_
_space_group_symop_operation_xyz
'x,y,z'
'-x,-y,-z'
loop_
_atom_site_label
_atom_site_fract_x
_atom_site_fract_y
_atom_site_fract_z
Li1 0.0842 0.3636 0.3212
Li2 0.2587 0.9389 0.6445
Li3 0.3446 0.7006 0.9612
Li4 0.3728 0.7362 0.3234
Fe1 0.1555 0.1591 0.0337
Fe2 0.3575 0.3602 0.4313
P1 0.0452 0.7594 0.2494
P2 0.2403 0.5518 0.7544
P3 0.4556 0.0486 0.2411
O1 0.0058 0.9745 0.2021
O2 0.0230 0.6685 0.8106
O3 0.0278 0.7143 0.1094
O4 0.0978 0.2949 0.5662
O5 0.2570 0.6406 0.2467
O6 0.2944 0.5533 0.5632
O7 0.2968 0.3425 0.8751
O8 0.3318 0.0092 0.1868
O9 0.3364 0.9726 0.8896
O10 0.3550 0.6518 0.7558
O11 0.3666 0.2565 0.2442
O12 0.4648 0.9012 0.4257
```

---

The following is a computed powder X-ray diffraction pattern of LiFeP2O7. It was derived from a structure optimized by DFT (PBE+U), using Cu Kα X-rays.
Intensities are scaled so that the largest is 100.

Top 10 peaks for 2θ from 10° to 80°, by angle:
| Position (°2θ) | I_rel |
| --- | --- |
| 12.15 | 100 |
| 21.15 | 26 |
| 21.32 | 13 |
| 23.16 | 15 |
| 25.99 | 9 |
| 27.02 | 10 |
| 27.57 | 23 |
| 27.71 | 23 |
| 28.01 | 9 |
| 30.44 | 10 |

Structural model:
```
data_LiFeP2O7
_chemical_formula_sum 'Li2 Fe2 P4 O14'
_space_group_name_H-M_alt 'P 1'
_space_group_IT_number 1
_cell_length_a 4.8136
_cell_length_b 8.0354
_cell_length_c 8.7069
_cell_angle_alpha 107.54
_cell_angle_beta 90.30
_cell_angle_gamma 107.04
loop_
_space_group_symop_operation_xyz
'x,y,z'
loop_
_atom_site_label
_atom_site_fract_x
_atom_site_fract_y
_atom_site_fract_z
Li1 0.0000 0.0000 0.0000
Li2 0.3318 0.9978 0.5016
Fe1 0.2605 0.4201 0.1054
Fe2 0.4934 0.4178 0.6037
P1 0.0988 0.6110 0.8491
P2 0.6409 0.2058 0.2426
P3 0.8428 0.6072 0.3464
P4 0.9051 0.2085 0.7405
O1 0.0222 0.2223 0.9112
O2 0.1271 0.7539 0.3775
O3 0.1565 0.2195 0.6297
O4 0.2088 0.5922 0.0062
O5 0.3201 0.5972 0.7235
O6 0.3981 0.2207 0.1346
O7 0.5426 0.2178 0.4135
O8 0.6252 0.5970 0.2117
O9 0.6302 0.0575 0.6715
O10 0.6893 0.5860 0.4961
O11 0.7638 0.0541 0.1707
O12 0.8218 0.4078 0.7650
O13 0.9220 0.4044 0.2682
O14 0.9640 0.7592 0.8683
```

---

The following is a computed powder X-ray diffraction pattern of LiFe2P3O12. It was derived from a structure optimized by DFT (PBE+U), using Cu Kα X-rays.
Intensities are scaled so that the largest is 100.

Top 10 peaks for 2θ from 10° to 80°, by angle:
| Position (°2θ) | I_rel |
| --- | --- |
| 14.43 | 22 |
| 20.45 | 81 |
| 24.04 | 100 |
| 29.09 | 35 |
| 31.81 | 15 |
| 32.57 | 34 |
| 35.87 | 34 |
| 46.77 | 22 |
| 49.25 | 19 |
| 56.07 | 15 |

Structural model:
```
data_LiFe2P3O12
_chemical_formula_sum 'Li6 Fe12 P18 O72'
_space_group_name_H-M_alt 'R -3 c'
_space_group_IT_number 167
_space_group_name_Hall '-R 3 2"c'
_cell_length_a 8.6690
_cell_length_b 8.6690
_cell_length_c 21.3378
_cell_angle_alpha 90.00
_cell_angle_beta 90.00
_cell_angle_gamma 120.00
loop_
_atom_site_label
_atom_site_fract_x
_atom_site_fract_y
_atom_site_fract_z
Li1 0.0000 0.0000 0.0000
Fe1 0.0000 0.0000 0.1434
P1 0.0000 0.2916 0.2500
O1 0.0088 0.1975 0.1905
O2 0.0182 0.1861 0.9206
```

---

The following is a computed powder X-ray diffraction pattern of Li2FeP2O7. It was derived from a structure optimized by DFT (PBE+U), using Cu Kα X-rays.
Intensities are scaled so that the largest is 100.

Top 10 peaks for 2θ from 10° to 80°, by angle:
| Position (°2θ) | I_rel |
| --- | --- |
| 14.14 | 34 |
| 21.82 | 100 |
| 23.83 | 63 |
| 28.46 | 13 |
| 29.52 | 10 |
| 30.45 | 50 |
| 34.75 | 27 |
| 37.85 | 26 |
| 38.15 | 10 |
| 40.20 | 13 |

Structural model:
```
data_Li2FeP2O7
_chemical_formula_sum 'Li8 Fe4 P8 O28'
_space_group_name_H-M_alt 'P 1 21/c 1'
_space_group_IT_number 14
_cell_length_a 8.0598
_cell_length_b 5.1634
_cell_length_c 14.3141
_cell_angle_alpha 90.00
_cell_angle_beta 112.11
_cell_angle_gamma 90.00
loop_
_space_group_symop_operation_xyz
'x,y,z'
'-x,-y,-z'
'-x,y+1/2,-z+1/2'
'x,-y+1/2,z+1/2'
loop_
_atom_site_label
_atom_site_fract_x
_atom_site_fract_y
_atom_site_fract_z
Li1 0.0300 0.2119 0.1768
Li2 0.4255 0.2485 0.1617
Fe1 0.2793 0.2165 0.8786
P1 0.1851 0.7165 0.1933
P2 0.2942 0.7195 0.0225
O1 0.0037 0.2484 0.8050
O2 0.1482 0.7334 0.5749
O3 0.2063 0.6557 0.4190
O4 0.2482 0.0666 0.7163
O5 0.3191 0.5841 0.7575
O6 0.3207 0.0744 0.5175
O7 0.4621 0.6352 0.5916
```